# Pr4OsAuBr2
Calculated powder X-ray diffraction pattern, Cu Kα (λ = 1.5418 Å). Input: the PBE geometry in Alexandria.

Structure:
```
Pr4OsAuBr2
1.0
7.4218 0.0000 0.0000
0.0000 4.2508 0.0000
-2.4851 0.0000 7.8312
Pr Os Au Br
4 1 1 2
Direct
0.2204 0.0000 0.1985
0.2411 0.5000 0.7979
0.7589 0.5000 0.2021
0.7796 0.0000 0.8015
0.0000 0.5000 0.0000
0.5000 0.0000 0.0000
0.0000 0.0000 0.5000
0.5000 0.5000 0.5000
```

Main lines, low angle first (5 to 70 degrees two-theta):
- 11.30 deg, intensity 54.7
- 28.43 deg, intensity 47.4
- 28.59 deg, intensity 100.0
- 39.18 deg, intensity 48.1
- 42.27 deg, intensity 35.2
- 42.53 deg, intensity 18.5